Structure and theoretical X-ray diffraction stick pattern of Ti4H5N (a crystal structure in Alexandria, relaxed with GGA-PBE; Cu Kα (weighted mean of Kα1 and Kα2)).

Most intense lines, 10 to 80 degrees two-theta, low angle first:
two_theta  I/Imax  index
36.07  82  0 1 -2
36.24  47  1 -1 0
36.46  83  1 1 -1
36.57  30  1 1 0
36.93  100  0 1 2
37.60  73  0 2 0
38.25  32  1 0 1
38.44  29  1 0 -2
55.26  32  1 2 1
62.51  21  2 0 -1

Structural model:
Lattice parameters (Å, degrees): 2.9718 4.7861 5.9249 91.38 104.24 90.21
Space group P1 (No. 1)
Symmetry-distinct sites (fractional):
1 Ti 0.0000 0.0000 0.0000
2 Ti 0.1151 0.5023 0.2455
3 Ti 0.3882 0.5004 0.7825
4 Ti 0.7297 0.9949 0.4664
5 H 0.2450 0.2559 0.4953
6 H 0.2500 0.7436 0.5083
7 H 0.5368 0.2652 0.0761
8 H 0.8672 0.7540 0.7397
9 H 0.8690 0.2409 0.7452
10 N 0.5588 0.7536 0.1253